1.
The following is a theoretical X-ray powder pattern of Li8Ti7Nb6O30. It was derived from DFT lattice parameters and positions (GGA-PBE), using Cu Kα, 1.54184 Å.
Peak positions follow from Bragg's law for the DFT cell and can differ from measured ones.

Atomic structure:
abc: 5.1939 5.1939 24.4313
angles: 90.00 90.00 120.00
Sites, in units of the cell vectors:
Li1 0.0000 0.0000 0.0000
Li2 0.0000 0.0000 0.1574
Li3 0.0000 0.0000 0.4414
Li4 0.0000 0.0000 0.7106
Li5 0.3333 0.6667 0.6086
Li6 0.3333 0.6667 0.8705
Li7 0.6667 0.3333 0.2840
Li8 0.6667 0.3333 0.5474
Ti1 0.3333 0.6667 0.0951
Ti2 0.3333 0.6667 0.3639
Ti3 0.3333 0.6667 0.7672
Ti4 0.6667 0.3333 0.0676
Ti5 0.6667 0.3333 0.1840
Ti6 0.6667 0.3333 0.3880
Ti7 0.6667 0.3333 0.7906
Nb1 0.0000 0.0000 0.2762
Nb2 0.0000 0.0000 0.5776
Nb3 0.0000 0.0000 0.8757
Nb4 0.3333 0.6667 0.4834
Nb5 0.3333 0.6667 0.9736
Nb6 0.6667 0.3333 0.6722
O1 0.0129 0.3458 0.8236
O2 0.0129 0.3837 0.4249
O3 0.0170 0.3820 0.0328
O4 0.0418 0.7069 0.5286
O5 0.0776 0.7474 0.9265
O6 0.2526 0.3301 0.9265
O7 0.2931 0.3349 0.5286
O8 0.3329 0.9871 0.8236
O9 0.3342 0.0417 0.6269
O10 0.3346 0.0833 0.2301
O11 0.3448 0.3340 0.3321
O12 0.3650 0.9830 0.0328
O13 0.3709 0.9871 0.4249
O14 0.3816 0.3688 0.7304
O15 0.3852 0.3669 0.1273
O16 0.6163 0.6291 0.4249
O17 0.6180 0.6350 0.0328
O18 0.6312 0.0128 0.7304
O19 0.6331 0.0182 0.1273
O20 0.6542 0.6671 0.8236
O21 0.6651 0.9582 0.5286
O22 0.6660 0.0108 0.3321
O23 0.6699 0.9224 0.9265
O24 0.7075 0.6658 0.6269
O25 0.7487 0.6654 0.2301
O26 0.9167 0.2513 0.2301
O27 0.9583 0.2925 0.6269
O28 0.9818 0.6148 0.1273
O29 0.9872 0.6184 0.7304
O30 0.9892 0.6552 0.3321

Top 12 peaks for 10 to 90 degrees two-theta, in order of falling intensity:
Position (°2θ)  I/Imax
22.58  100.0
51.35  66.9
21.05  66.1
34.54  55.1
32.47  38.1
24.58  31.4
61.88  28.6
35.53  28.5
29.59  26.5
39.29  21.8
48.13  20.1
50.39  16.9

2.
The following is a theoretical X-ray powder pattern of PmAlAu6. It was derived from DFT lattice parameters and positions (GGA-PBE), using Cu Kα, 1.54184 Å.
Peak positions follow from Bragg's law for the DFT cell and can differ from measured ones.

Atomic structure:
abc: 4.5979 6.7125 5.0921
angles: 90.00 90.00 90.00
Sites, in units of the cell vectors:
Pm1 0.0000 0.0000 0.0000
Al1 0.5000 0.5000 0.3242
Au1 0.0000 0.2789 0.5022
Au2 0.0000 0.5000 0.0262
Au3 0.0000 0.7211 0.5022
Au4 0.5000 0.0000 0.4151
Au5 0.5000 0.2834 0.8481
Au6 0.5000 0.7166 0.8481

Top 12 peaks for 10 to 90 degrees two-theta, in order of falling intensity:
Position (°2θ)  I/Imax
37.59  100.0
40.50  30.6
39.19  30.3
31.94  17.6
69.96  16.6
35.25  15.3
75.11  13.4
61.19  11.7
29.36  11.6
54.67  10.8
69.31  10.8
51.41  9.4

3.
The following is a theoretical X-ray powder pattern of TmZrSi2. It was derived from DFT lattice parameters and positions (GGA-PBE), using Cu Kα, 1.54184 Å.
Peak positions follow from Bragg's law for the DFT cell and can differ from measured ones.

Atomic structure:
abc: 3.7648 5.4766 7.4133
angles: 90.00 90.00 90.00
Sites, in units of the cell vectors:
Tm1 0.0000 0.1289 0.0000
Tm2 0.0000 0.8711 0.5000
Zr1 0.5000 0.3724 0.3576
Zr2 0.5000 0.6276 0.8576
Si1 0.0000 0.3895 0.6371
Si2 0.0000 0.6105 0.1371
Si3 0.5000 0.1224 0.7161
Si4 0.5000 0.8776 0.2161

Top 12 peaks for 10 to 90 degrees two-theta, in order of falling intensity:
Position (°2θ)  I/Imax
31.25  100.0
34.93  88.8
33.94  84.7
37.82  54.3
42.61  52.7
28.78  44.2
40.03  43.3
29.09  35.4
61.03  34.9
55.74  33.6
24.01  29.0
48.35  28.1

4.
The following is a theoretical X-ray powder pattern of La9Pr2Nd3. It was derived from DFT lattice parameters and positions (GGA-PBE), using Cu Kα, 1.54184 Å.
Peak positions follow from Bragg's law for the DFT cell and can differ from measured ones.

Atomic structure:
abc: 9.3273 9.3273 13.8187
angles: 90.00 90.00 120.00
Sites, in units of the cell vectors:
La1 0.0757 0.4838 0.2500
La2 0.1268 0.7357 0.0364
La3 0.1268 0.7357 0.4636
La4 0.2643 0.3912 0.0364
La5 0.2643 0.3912 0.4636
La6 0.3912 0.1268 0.5364
La7 0.3912 0.1268 0.9636
La8 0.4081 0.9243 0.2500
La9 0.4838 0.4081 0.7500
La10 0.5162 0.5919 0.2500
La11 0.5919 0.0757 0.7500
La12 0.6088 0.8732 0.0364
La13 0.6088 0.8732 0.4636
La14 0.7357 0.6088 0.5364
La15 0.7357 0.6088 0.9636
La16 0.8732 0.2643 0.5364
La17 0.8732 0.2643 0.9636
La18 0.9243 0.5162 0.7500
Pr1 0.3333 0.6667 0.6371
Pr2 0.3333 0.6667 0.8629
Pr3 0.6667 0.3333 0.1371
Pr4 0.6667 0.3333 0.3629
Nd1 0.0881 0.2488 0.7500
Nd2 0.1607 0.9119 0.7500
Nd3 0.2488 0.1607 0.2500
Nd4 0.7512 0.8393 0.7500
Nd5 0.8393 0.0881 0.2500
Nd6 0.9119 0.7512 0.2500

Top 12 peaks for 10 to 90 degrees two-theta, in order of falling intensity:
Position (°2θ)  I/Imax
32.05  100.0
29.97  83.2
29.41  50.7
25.79  29.0
32.25  28.2
51.87  27.3
52.59  25.5
34.29  22.9
35.27  20.4
58.81  18.3
25.55  14.2
27.21  12.0

5.
The following is a theoretical X-ray powder pattern of La2Nd6Er. It was derived from DFT lattice parameters and positions (GGA-PBE), using Cu Kα, 1.54184 Å.
Peak positions follow from Bragg's law for the DFT cell and can differ from measured ones.

Atomic structure:
abc: 3.6685 3.6685 27.4064
angles: 90.00 90.00 120.00
Sites, in units of the cell vectors:
La1 0.0000 0.0000 0.1712
La2 0.0000 0.0000 0.8288
Nd1 0.0000 0.0000 0.3951
Nd2 0.0000 0.0000 0.6049
Nd3 0.6667 0.3333 0.0622
Nd4 0.6667 0.3333 0.2857
Nd5 0.6667 0.3333 0.7143
Nd6 0.6667 0.3333 0.9378
Er1 0.6667 0.3333 0.5000

Top 12 peaks for 10 to 90 degrees two-theta, in order of falling intensity:
Position (°2θ)  I/Imax
32.58  100.0
31.03  57.0
29.33  44.1
28.09  44.0
58.77  37.1
49.71  34.6
55.11  30.0
41.06  28.0
60.71  19.0
82.18  13.8
77.36  11.0
29.77  10.3

6.
The following is a theoretical X-ray powder pattern of Sn3TeW. It was derived from DFT lattice parameters and positions (GGA-PBE), using Cu Kα, 1.54184 Å.
Peak positions follow from Bragg's law for the DFT cell and can differ from measured ones.

Atomic structure:
abc: 5.3340 5.3340 5.3340
angles: 90.00 90.00 90.00
Sites, in units of the cell vectors:
Sn1 0.0000 0.0000 0.5000
Sn2 0.0000 0.5000 0.0000
Sn3 0.5000 0.0000 0.0000
Te1 0.5000 0.5000 0.5000
W1 0.0000 0.0000 0.0000

Top 12 peaks for 10 to 90 degrees two-theta, in order of falling intensity:
Position (°2θ)  I/Imax
33.60  100.0
48.26  73.5
28.99  41.4
16.62  38.2
23.59  37.2
80.53  34.5
60.09  25.7
37.71  21.0
57.29  18.9
41.47  16.6
70.64  12.1
51.39  11.2

7.
The following is a theoretical X-ray powder pattern of PmNdSmTh2. It was derived from DFT lattice parameters and positions (GGA-PBE), using Cu Kα, 1.54184 Å.
Peak positions follow from Bragg's law for the DFT cell and can differ from measured ones.

Atomic structure:
abc: 8.6064 8.6064 6.7367
angles: 90.00 90.00 133.90
Sites, in units of the cell vectors:
Pm1 0.1513 0.8487 0.7500
Pm2 0.8487 0.1513 0.2500
Nd1 0.2540 0.7460 0.2500
Nd2 0.7460 0.2540 0.7500
Sm1 0.3485 0.6515 0.7500
Sm2 0.6515 0.3485 0.2500
Th1 0.2508 0.2508 0.0000
Th2 0.2508 0.2508 0.5000
Th3 0.7492 0.7492 0.0000
Th4 0.7492 0.7492 0.5000

Top 12 peaks for 10 to 90 degrees two-theta, in order of falling intensity:
Position (°2θ)  I/Imax
28.80  100.0
37.76  40.9
33.98  37.2
34.97  36.8
51.70  29.4
62.78  22.7
11.17  18.1
65.07  16.7
25.18  15.6
89.85  14.8
54.47  14.4
60.84  12.8